1.
Starting from the GGA-PBE geometry in OQMD, the powder diffraction line list of ErLuPt2 was calculated for CuKα.
Kinematic intensities with the Lorentz-polarization factor, no thermal factor.

Cell and atoms:
Cell lengths 4.448, 6.900, 5.514 Å; angles 90.00, 90.00, 90.00 degrees
Space group Pmn2_1 (No. 31)
Symmetry-distinct sites (fractional):
1 Er 0.000 0.069 0.000 (multiplicity 2)
2 Lu 0.000 0.568 0.218 (multiplicity 2)
3 Pt 0.000 0.210 0.516 (multiplicity 2)
4 Pt 0.000 0.701 0.702 (multiplicity 2)

Principal peaks in the range 2θ = 5–70°, in order of rising 2θ:
h k l	Position (°2θ)	Rel. int.
1 2 0	32.85	74
0 1 2	35.05	47
1 2 1	36.78	100
2 0 0	40.56	51
1 1 2	40.66	89
2 1 2	54.66	27

***

2.
Starting from the GGA-PBE geometry in OQMD, the powder diffraction line list of MoI2 was calculated for CuKα.
Kinematic intensities with the Lorentz-polarization factor, no thermal factor.

Cell and atoms:
Cell lengths 16.371, 12.778, 12.772 Å; angles 90.00, 90.00, 90.00 degrees
Space group Cmce (No. 64)
Symmetry-distinct sites (fractional):
1 Mo 0.000 0.066 0.134 (multiplicity 8)
2 Mo 0.000 0.134 0.934 (multiplicity 8)
3 Mo 0.116 0.000 0.000 (multiplicity 8)
4 I 0.000 0.154 0.346 (multiplicity 8)
5 I 0.120 0.070 0.792 (multiplicity 16)
6 I 0.121 0.207 0.070 (multiplicity 16)
7 I 0.210 0.000 0.500 (multiplicity 8)

Principal peaks in the range 2θ = 5–70°, in order of rising 2θ:
h k l	Position (°2θ)	Rel. int.
2 0 0	10.81	39
1 1 1	11.19	100
0 2 0	13.86	23
3 1 2	22.52	24
2 4 0	30.04	27
5 5 1	45.59	26

***

- What is the formula in the second record?
  MoI2

***

- Which formula does entry 2 have?
  MoI2